[1]
Starting from a PBE-relaxed structure, the powder diffraction line list of Ho4OsPd was calculated for a wavelength of 1.5418 Å.

Cell and atoms:
Cell: 4.8063 4.8063 6.8421 Å, 90.00 90.00 90.00°
Atoms (fractional coordinates):
Ho 0.0000 0.5000 0.2409
Ho 0.0000 0.5000 0.7591
Ho 0.5000 0.0000 0.2409
Ho 0.5000 0.0000 0.7591
Os 0.0000 0.0000 0.0000
Pd 0.5000 0.5000 0.5000

Peak list (10 most intense, 10 to 90 degrees two-theta, in order of rising 2θ)
| Position (°2θ) | d_spacing | intensity |
| --- | --- | --- |
| 22.61 | 3.933 | 36 |
| 26.05 | 3.421 | 9 |
| 26.22 | 3.399 | 18 |
| 37.29 | 2.411 | 100 |
| 37.42 | 2.403 | 50 |
| 44.17 | 2.051 | 12 |
| 53.96 | 1.699 | 18 |
| 67.17 | 1.394 | 17 |
| 67.43 | 1.389 | 35 |
| 79.51 | 1.206 | 11 |

[2]
Starting from a PBE-relaxed structure, the powder diffraction line list of Pr3SnRh3 was calculated for a wavelength of 1.5418 Å.

Cell and atoms:
Cell: 5.7947 5.7947 13.7191 Å, 90.00 90.00 134.56°
Atoms (fractional coordinates):
Pr 0.0140 0.9860 0.7500
Pr 0.2948 0.7052 0.6052
Pr 0.2948 0.7052 0.8948
Pr 0.7052 0.2948 0.1052
Pr 0.7052 0.2948 0.3948
Pr 0.9860 0.0140 0.2500
Sn 0.0000 0.0000 0.0000
Sn 0.0000 0.0000 0.5000
Rh 0.2594 0.7406 0.2500
Rh 0.4142 0.5858 0.0934
Rh 0.4142 0.5858 0.4066
Rh 0.5858 0.4142 0.5934
Rh 0.5858 0.4142 0.9066
Rh 0.7406 0.2594 0.7500

Peak list (10 most intense, 10 to 90 degrees two-theta, in order of rising 2θ)
| Position (°2θ) | d_spacing | intensity |
| --- | --- | --- |
| 29.14 | 3.065 | 41 |
| 30.98 | 2.887 | 27 |
| 32.11 | 2.788 | 70 |
| 33.98 | 2.638 | 100 |
| 37.79 | 2.380 | 99 |
| 39.04 | 2.307 | 24 |
| 39.41 | 2.286 | 30 |
| 40.30 | 2.238 | 57 |
| 51.68 | 1.769 | 20 |
| 64.47 | 1.445 | 20 |

[3]
Starting from a PBE-relaxed structure, the powder diffraction line list of Tb6AlIn3 was calculated for a wavelength of 1.5418 Å.

Cell and atoms:
Cell: 9.2846 5.3006 11.6384 Å, 90.00 107.59 90.00°
Atoms (fractional coordinates):
Tb 0.0351 0.2500 0.4116
Tb 0.1643 0.7500 0.1712
Tb 0.2648 0.2500 0.0015
Tb 0.3495 0.7500 0.8183
Tb 0.3672 0.2500 0.3334
Tb 0.4011 0.2500 0.6239
Tb 0.5989 0.7500 0.3761
Tb 0.6328 0.7500 0.6666
Tb 0.6505 0.2500 0.1817
Tb 0.7352 0.7500 0.9985
Tb 0.8357 0.2500 0.8288
Tb 0.9649 0.7500 0.5884
Al 0.4558 0.7500 0.1034
Al 0.5442 0.2500 0.8966
In 0.0266 0.7500 0.8818
In 0.1197 0.2500 0.7175
In 0.2740 0.7500 0.4700
In 0.7260 0.2500 0.5300
In 0.8803 0.7500 0.2825
In 0.9734 0.2500 0.1182

Peak list (10 most intense, 10 to 90 degrees two-theta, in order of rising 2θ)
| Position (°2θ) | d_spacing | intensity |
| --- | --- | --- |
| 31.35 | 2.853 | 9 |
| 32.51 | 2.754 | 19 |
| 33.54 | 2.672 | 100 |
| 33.82 | 2.650 | 30 |
| 36.77 | 2.444 | 8 |
| 47.62 | 1.910 | 13 |
| 48.70 | 1.870 | 8 |
| 60.32 | 1.534 | 18 |
| 60.61 | 1.528 | 8 |
| 70.47 | 1.336 | 6 |

[4]
Starting from a PBE-relaxed structure, the powder diffraction line list of DyErTmAl was calculated for a wavelength of 1.5418 Å.

Cell and atoms:
Cell: 4.7120 4.7213 4.7311 Å, 90.00 90.00 90.00°
Atoms (fractional coordinates):
Dy 0.0000 0.0000 0.0000
Er 0.0000 0.5000 0.5000
Tm 0.5000 0.0000 0.5000
Al 0.5000 0.5000 0.0000

Peak list (10 most intense, 10 to 90 degrees two-theta, in order of rising 2θ)
| Position (°2θ) | d_spacing | intensity |
| --- | --- | --- |
| 18.79 | 4.722 | 20 |
| 26.70 | 3.338 | 18 |
| 32.86 | 2.726 | 100 |
| 38.08 | 2.363 | 34 |
| 38.20 | 2.356 | 17 |
| 54.98 | 1.670 | 23 |
| 65.47 | 1.426 | 14 |
| 65.58 | 1.424 | 14 |
| 65.68 | 1.422 | 14 |
| 68.89 | 1.363 | 12 |